No. 1
The following is a computed powder diffraction line list of Cs4HfS4. It was derived from a crystal structure in Alexandria, relaxed with GGA-PBE, using Cu Kα (weighted mean of Kα1 and Kα2).
No peak broadening, texture or thermal motion is included.

Principal peaks in the range 2θ = 10–90°, in order of falling intensity:
two_theta, Rel. int.
28.44, 100
21.61, 95
35.85, 72
22.77, 63
17.41, 37
49.68, 34
35.25, 31
42.89, 30
52.82, 28
24.72, 28

Atomic structure:
a = 8.6348 Å, b = 8.6348 Å, c = 8.6348 Å
α = 130.71°, β = 130.71°, γ = 72.28°
Sites, in units of the cell vectors:
Cs 0.1612 0.1612 0.6103
Cs 0.4490 0.8388 0.0000
Cs 0.5510 0.5510 0.3897
Cs 0.8388 0.4490 0.0000
Hf 0.0000 0.0000 0.0000
S 0.0899 0.7074 0.0000
S 0.2926 0.2926 0.3825
S 0.7074 0.0899 0.0000
S 0.9101 0.9101 0.6175

=====

No. 2
The following is a computed powder diffraction line list of Li2SiBO4. It was derived from a crystal structure in Alexandria, relaxed with GGA-PBE, using Cu Kα (weighted mean of Kα1 and Kα2).
No peak broadening, texture or thermal motion is included.

Principal peaks in the range 2θ = 10–90°, in order of falling intensity:
two_theta, Rel. int.
22.99, 100
24.69, 63
23.18, 55
39.30, 51
37.29, 48
35.93, 45
38.46, 36
63.66, 18
65.74, 14
57.51, 13

Atomic structure:
a = 4.3495 Å, b = 4.5272 Å, c = 4.6788 Å
α = 118.10°, β = 112.13°, γ = 92.80°
Sites, in units of the cell vectors:
Li 0.0000 0.0000 0.0000
Li 0.2286 0.7185 0.4637
Si 0.7724 0.2463 0.4657
B 0.4944 0.4843 0.0001
O 0.1665 0.5646 0.8320
O 0.4323 0.3541 0.2221
O 0.5856 0.2133 0.7244
O 0.7809 0.8156 0.2515

=====

No. 3
The following is a computed powder diffraction line list of CeThZn2Ge2. It was derived from a crystal structure in Alexandria, relaxed with GGA-PBE, using Cu Kα (weighted mean of Kα1 and Kα2).
No peak broadening, texture or thermal motion is included.

Principal peaks in the range 2θ = 10–90°, in order of falling intensity:
two_theta, Rel. int.
32.44, 100
42.77, 39
62.32, 25
54.68, 23
71.81, 20
24.30, 18
43.07, 13
72.24, 10
78.33, 6
87.76, 6

Atomic structure:
a = 4.2287 Å, b = 4.2287 Å, c = 8.4002 Å
α = 90.00°, β = 90.00°, γ = 120.00°
Sites, in units of the cell vectors:
Ce 0.0000 0.0000 0.0000
Th 0.0000 0.0000 0.5000
Zn 0.3333 0.6667 0.2463
Zn 0.6667 0.3333 0.7537
Ge 0.3333 0.6667 0.7523
Ge 0.6667 0.3333 0.2477

=====

No. 4
The following is a computed powder diffraction line list of PuThRh3. It was derived from a crystal structure in Alexandria, relaxed with GGA-PBE, using Cu Kα (weighted mean of Kα1 and Kα2).
No peak broadening, texture or thermal motion is included.

Principal peaks in the range 2θ = 10–90°, in order of falling intensity:
two_theta, Rel. int.
27.97, 100
36.51, 72
41.81, 34
43.59, 22
60.60, 20
51.05, 20
45.33, 14
57.81, 14
77.58, 14
33.87, 14

Atomic structure:
a = 6.6429 Å, b = 6.6429 Å, c = 6.6429 Å
α = 125.22°, β = 101.82°, γ = 102.62°
Sites, in units of the cell vectors:
Pu 0.2594 0.0094 0.2500
Pu 0.7406 0.9906 0.7500
Th 0.0000 0.5000 0.5000
Th 0.5000 0.5000 0.0000
Rh 0.0000 0.0000 0.5000
Rh 0.0000 0.5000 0.0000
Rh 0.3328 0.0000 0.8328
Rh 0.3328 0.5000 0.3328
Rh 0.6672 0.0000 0.1672
Rh 0.6672 0.5000 0.6672

=====

No. 5
The following is a computed powder diffraction line list of BaIn2FeBr. It was derived from a crystal structure in Alexandria, relaxed with GGA-PBE, using Cu Kα (weighted mean of Kα1 and Kα2).
No peak broadening, texture or thermal motion is included.

Principal peaks in the range 2θ = 10–90°, in order of falling intensity:
two_theta, Rel. int.
26.06, 100
30.61, 73
42.89, 56
29.32, 41
15.17, 36
51.71, 29
53.61, 29
43.83, 26
79.91, 19
50.04, 16

Atomic structure:
a = 5.8418 Å, b = 5.8418 Å, c = 6.0931 Å
α = 90.00°, β = 90.00°, γ = 90.00°
Sites, in units of the cell vectors:
Ba 0.0000 0.0000 0.0000
In 0.0000 0.5000 0.5000
In 0.5000 0.0000 0.5000
Fe 0.5000 0.5000 0.0000
Br 0.0000 0.0000 0.5000

=====

No. 6
The following is a computed powder diffraction line list of B2C. It was derived from a crystal structure in Alexandria, relaxed with GGA-PBE, using Cu Kα (weighted mean of Kα1 and Kα2).
No peak broadening, texture or thermal motion is included.

Principal peaks in the range 2θ = 10–90°, in order of falling intensity:
two_theta, Rel. int.
40.01, 100
44.09, 75
68.00, 41
89.93, 16
73.57, 13
72.82, 12
47.50, 9
84.70, 9
64.47, 8
63.80, 8

Atomic structure:
a = 2.2888 Å, b = 2.5749 Å, c = 13.9708 Å
α = 90.00°, β = 90.00°, γ = 90.00°
Sites, in units of the cell vectors:
B 0.2500 0.0000 0.0491
B 0.2500 0.0000 0.3939
B 0.2500 0.5000 0.1399
B 0.2500 0.5000 0.7596
B 0.7500 0.0000 0.6061
B 0.7500 0.0000 0.9509
B 0.7500 0.5000 0.2404
B 0.7500 0.5000 0.8601
C 0.2500 0.0000 0.6928
C 0.2500 0.5000 0.4687
C 0.7500 0.0000 0.3072
C 0.7500 0.5000 0.5313